1.
Diffraction record for GaAuSeO. The XRD peak list is computed, not measured: it uses a structure optimized by DFT (PBE) and Cu Ka.
Intensities are scaled so that the largest is 100.

Most intense lines, 2θ from 15° to 90°, low angle first:
2θ (°), d_spacing, I/Imax, h k l
18.21, 4.871, 80, 0 1 1
22.45, 3.961, 87, 1 1 0
22.58, 3.938, 97, 1 1 -1
25.96, 3.432, 68, 1 1 -2
31.17, 2.869, 90, 1 1 2
34.71, 2.585, 57, 2 1 -1
36.04, 2.492, 100, 2 1 -2
38.38, 2.346, 59, 1 2 -2

Structural model:
Lattice parameters (Å, degrees): 5.838 5.565 10.428 90.00 105.04 90.00
Space group P2_1 (No. 4)
Unique sites:
Ga  0.127  0.000  0.093 [2 per cell]
Ga  0.366  0.203  0.906 [2 per cell]
Au  0.156  0.054  0.513 [2 per cell]
Au  0.249  0.746  0.312 [2 per cell]
Se  0.071  0.566  0.726 [2 per cell]
Se  0.451  0.970  0.724 [2 per cell]
O  0.118  0.284  0.990 [2 per cell]
O  0.396  0.930  0.030 [2 per cell]

=====

2.
Diffraction record for Pa4Ga12Au. The XRD peak list is computed, not measured: it uses a structure optimized by DFT (PBE) and Cu Ka.
Intensities are scaled so that the largest is 100.

Most intense lines, 2θ from 15° to 90°, low angle first:
2θ (°), d_spacing, I/Imax, h k l
29.08, 3.071, 88, 2 2 0
35.81, 2.508, 100, 2 2 2
41.59, 2.172, 78, 4 0 0
51.54, 1.773, 29, 4 2 2
60.27, 1.536, 46, 4 4 0
68.29, 1.373, 24, 6 2 0
72.13, 1.310, 30, 6 2 2
83.23, 1.161, 23, 6 4 2

Structural model:
Lattice parameters (Å, degrees): 8.687 8.687 8.687 90.00 90.00 90.00
Space group Im-3m (No. 229)
Unique sites:
Pa  0.250  0.250  0.250 [8 per cell]
Ga  0.000  0.000  0.304 [12 per cell]
Ga  0.000  0.250  0.500 [12 per cell]
Au  0.000  0.000  0.000 [2 per cell]

=====

3.
Diffraction record for SmGa2PdAu. The XRD peak list is computed, not measured: it uses a structure optimized by DFT (PBE) and Cu Ka.
Intensities are scaled so that the largest is 100.

Most intense lines, 2θ from 15° to 90°, low angle first:
2θ (°), d_spacing, I/Imax, h k l
30.08, 2.971, 19, 1 1 1
33.15, 2.702, 38, 1 0 3
33.73, 2.657, 100, 1 1 2
41.13, 2.195, 56, 2 0 0
45.82, 1.980, 20, 1 1 4
53.81, 1.704, 19, 2 1 3
59.58, 1.552, 19, 2 2 0
70.24, 1.340, 24, 3 1 2

Structural model:
Lattice parameters (Å, degrees): 4.389 4.389 10.287 90.00 90.00 90.00
Space group P4/nmm (No. 129, origin choice 2)
Unique sites:
Sm  0.250  0.250  0.245 [2 per cell]
Ga  0.250  0.250  0.642 [2 per cell]
Ga  0.250  0.750  0.000 [2 per cell]
Pd  0.250  0.250  0.877 [2 per cell]
Au  0.250  0.750  0.500 [2 per cell]

=====

4.
Diffraction record for Pm2Ga5Au3. The XRD peak list is computed, not measured: it uses a structure optimized by DFT (PBE) and Cu Ka.
Intensities are scaled so that the largest is 100.

Most intense lines, 2θ from 15° to 90°, low angle first:
2θ (°), d_spacing, I/Imax, h k l
31.04, 2.881, 24, 1 1 2
32.37, 2.766, 100, 3 2 1
33.48, 2.676, 63, 2 0 2
33.76, 2.655, 59, 2 4 0
41.62, 2.170, 96, 0 4 2
44.68, 2.028, 30, 4 0 2
47.11, 1.929, 41, 5 2 1
53.50, 1.713, 24, 3 2 3

Structural model:
Lattice parameters (Å, degrees): 10.767 12.210 6.169 90.00 90.00 90.00
Space group Ibam (No. 72)
Unique sites:
Pm  0.240  0.126  0.000 [8 per cell]
Ga  0.000  0.000  0.250 [4 per cell]
Ga  0.000  0.266  0.250 [8 per cell]
Ga  0.146  0.383  0.000 [8 per cell]
Au  0.000  0.500  0.250 [4 per cell]
Au  0.123  0.133  0.500 [8 per cell]

=====

5.
Diffraction record for PrGa2PtAu. The XRD peak list is computed, not measured: it uses a structure optimized by DFT (PBE) and Cu Ka.
Intensities are scaled so that the largest is 100.

Most intense lines, 2θ from 15° to 90°, low angle first:
2θ (°), d_spacing, I/Imax, h k l
29.98, 2.981, 36, 1 1 1
32.75, 2.734, 56, 1 0 3
33.52, 2.674, 100, 1 1 2
41.05, 2.199, 73, 2 0 0
45.27, 2.003, 37, 1 1 4
53.47, 1.714, 28, 2 1 3
59.45, 1.555, 24, 2 2 0
70.00, 1.344, 24, 3 1 2

Structural model:
Lattice parameters (Å, degrees): 4.398 4.398 10.474 90.00 90.00 90.00
Space group P4/nmm (No. 129, origin choice 2)
Unique sites:
Pr  0.250  0.250  0.240 [2 per cell]
Ga  0.250  0.250  0.641 [2 per cell]
Ga  0.250  0.750  0.000 [2 per cell]
Pt  0.250  0.250  0.875 [2 per cell]
Au  0.250  0.750  0.500 [2 per cell]

=====

6.
Diffraction record for TbTm2Ga3PtAu2. The XRD peak list is computed, not measured: it uses a structure optimized by DFT (PBE) and Cu Ka.
Intensities are scaled so that the largest is 100.

Most intense lines, 2θ from 15° to 90°, low angle first:
2θ (°), d_spacing, I/Imax, h k l
24.03, 3.704, 35, 0 3 1
33.66, 2.663, 87, 1 0 2
36.54, 2.459, 100, 1 2 2
42.31, 2.136, 37, 0 3 3
44.16, 2.051, 30, 1 5 1
47.47, 1.915, 26, 2 0 0
65.45, 1.426, 20, 2 3 3
68.18, 1.375, 23, 1 8 2

Structural model:
Lattice parameters (Å, degrees): 3.831 12.863 7.390 90.00 90.00 90.00
Space group Amm2 (No. 38)
Unique sites:
Tb  0.000  0.000  0.000 [2 per cell]
Tm  0.000  0.199  0.600 [4 per cell]
Ga  0.500  0.000  0.653 [2 per cell]
Ga  0.500  0.126  0.276 [4 per cell]
Pt  0.000  0.000  0.405 [2 per cell]
Au  0.500  0.169  0.900 [4 per cell]

=====

7.
Diffraction record for RbYGa4Au2. The XRD peak list is computed, not measured: it uses a structure optimized by DFT (PBE) and Cu Ka.
Intensities are scaled so that the largest is 100.

Most intense lines, 2θ from 15° to 90°, low angle first:
2θ (°), d_spacing, I/Imax, h k l
16.60, 5.342, 37, 0 0 2
24.51, 3.633, 42, 1 1 1
33.51, 2.675, 97, 2 1 1
34.25, 2.618, 100, 1 1 3
36.09, 2.488, 47, 1 0 4
38.49, 2.339, 60, 0 2 0
41.36, 2.183, 69, 2 1 3
45.00, 2.015, 43, 3 1 1

Structural model:
Lattice parameters (Å, degrees): 6.848 4.678 10.684 90.00 90.00 90.00
Space group Amm2 (No. 38)
Unique sites:
Rb  0.000  0.000  0.000 [2 per cell]
Y  0.500  0.000  0.189 [2 per cell]
Ga  0.200  0.000  0.713 [4 per cell]
Ga  0.312  0.000  0.466 [4 per cell]
Au  0.000  0.000  0.289 [2 per cell]
Au  0.500  0.000  0.890 [2 per cell]

=====

8.
Diffraction record for Sr2Ga3Au6. The XRD peak list is computed, not measured: it uses a structure optimized by DFT (PBE) and Cu Ka.
Intensities are scaled so that the largest is 100.

Most intense lines, 2θ from 15° to 90°, low angle first:
2θ (°), d_spacing, I/Imax, h k l
20.75, 4.282, 47, 1 1 0
23.95, 3.716, 40, 0 0 6
31.87, 2.808, 88, 1 1 6
36.34, 2.472, 100, 3 0 0
37.90, 2.374, 31, 1 2 5
42.12, 2.145, 79, 1 1 9
43.99, 2.058, 64, 0 3 6
62.57, 1.484, 34, 1 4 6

Structural model:
Lattice parameters (Å, degrees): 8.5632 8.5632 22.3145 90.00 90.00 120.00
Space group R-3c (No. 167, hexagonal axes)
Unique sites:
Sr  0.0000  0.0000  0.0897 [12 per cell]
Ga  0.0000  0.1958  0.2500 [18 per cell]
Au  0.0166  0.3731  0.3486 [36 per cell]

=====

9.
Diffraction record for SrYGa4Au2. The XRD peak list is computed, not measured: it uses a structure optimized by DFT (PBE) and Cu Ka.
Intensities are scaled so that the largest is 100.

Most intense lines, 2θ from 15° to 90°, low angle first:
2θ (°), d_spacing, I/Imax, h k l
16.85, 5.262, 35, 0 0 2
24.86, 3.582, 43, 1 1 1
33.97, 2.639, 86, 2 1 1
34.77, 2.580, 100, 1 1 3
36.65, 2.452, 46, 1 0 4
39.08, 2.305, 59, 0 2 0
41.97, 2.153, 66, 2 1 3
45.62, 1.989, 41, 3 1 1

Structural model:
Lattice parameters (Å, degrees): 6.763 4.610 10.525 90.00 90.00 90.00
Space group Amm2 (No. 38)
Unique sites:
Sr  0.000  0.000  0.000 [2 per cell]
Y  0.500  0.000  0.187 [2 per cell]
Ga  0.201  0.000  0.713 [4 per cell]
Ga  0.308  0.000  0.468 [4 per cell]
Au  0.000  0.000  0.292 [2 per cell]
Au  0.500  0.000  0.891 [2 per cell]

=====

10.
Diffraction record for Tb2Ga5Au3. The XRD peak list is computed, not measured: it uses a structure optimized by DFT (PBE) and Cu Ka.
Intensities are scaled so that the largest is 100.

Most intense lines, 2θ from 15° to 90°, low angle first:
2θ (°), d_spacing, I/Imax, h k l
32.28, 2.773, 100, 3 2 1
33.77, 2.655, 74, 2 0 2
34.17, 2.624, 71, 2 4 0
42.46, 2.129, 99, 0 4 2
46.58, 1.950, 58, 5 2 1
54.04, 1.697, 24, 3 2 3
54.59, 1.681, 25, 3 6 1
83.97, 1.152, 24, 8 4 2

Structural model:
Lattice parameters (Å, degrees): 10.965 11.955 6.068 90.00 90.00 90.00
Space group Ibam (No. 72)
Unique sites:
Tb  0.245  0.125  0.000 [8 per cell]
Ga  0.000  0.000  0.250 [4 per cell]
Ga  0.000  0.260  0.250 [8 per cell]
Ga  0.143  0.380  0.000 [8 per cell]
Au  0.000  0.500  0.250 [4 per cell]
Au  0.131  0.131  0.500 [8 per cell]

=====

11.
Diffraction record for TlGa3Au2. The XRD peak list is computed, not measured: it uses a structure optimized by DFT (PBE) and Cu Ka.
Intensities are scaled so that the largest is 100.

Most intense lines, 2θ from 15° to 90°, low angle first:
2θ (°), d_spacing, I/Imax, h k l
23.96, 3.713, 63, 1 0 1
39.64, 2.274, 100, 2 0 0
46.85, 1.939, 30, 2 1 1
57.30, 1.608, 16, 2 2 0
63.00, 1.475, 12, 3 0 1
71.92, 1.313, 32, 3 1 2
77.06, 1.238, 8, 3 2 1
85.39, 1.137, 10, 4 0 0

Structural model:
Lattice parameters (Å, degrees): 4.546 4.546 6.436 90.00 90.00 90.00
Space group P-4m2 (No. 115)
Unique sites:
Tl  0.000  0.000  0.000 [1 per cell]
Ga  0.000  0.000  0.500 [1 per cell]
Ga  0.500  0.500  0.000 [1 per cell]
Ga  0.500  0.500  0.500 [1 per cell]
Au  0.000  0.500  0.280 [2 per cell]

=====

12.
Diffraction record for Y2Ga5Au3. The XRD peak list is computed, not measured: it uses a structure optimized by DFT (PBE) and Cu Ka.
Intensities are scaled so that the largest is 100.

Most intense lines, 2θ from 15° to 90°, low angle first:
2θ (°), d_spacing, I/Imax, h k l
22.44, 3.962, 40, 1 2 1
32.26, 2.775, 77, 3 2 1
33.80, 2.652, 66, 2 0 2
34.23, 2.620, 63, 2 4 0
42.57, 2.124, 100, 0 4 2
44.52, 2.035, 40, 4 0 2
44.86, 2.020, 38, 4 4 0
46.50, 1.953, 53, 5 2 1

Structural model:
Lattice parameters (Å, degrees): 10.996 11.918 6.054 90.00 90.00 90.00
Space group Ibam (No. 72)
Unique sites:
Y  0.246  0.124  0.000 [8 per cell]
Ga  0.000  0.000  0.250 [4 per cell]
Ga  0.000  0.258  0.250 [8 per cell]
Ga  0.143  0.379  0.000 [8 per cell]
Au  0.000  0.500  0.250 [4 per cell]
Au  0.133  0.130  0.500 [8 per cell]

=====

13.
Diffraction record for PrGdGe2Au2. The XRD peak list is computed, not measured: it uses a structure optimized by DFT (PBE) and Cu Ka.
Intensities are scaled so that the largest is 100.

Most intense lines, 2θ from 15° to 90°, low angle first:
2θ (°), d_spacing, I/Imax, h k l
25.59, 3.481, 32, 1 0 1
32.82, 2.728, 100, 0 1 2
39.89, 2.260, 69, 1 1 0
42.46, 2.129, 17, 1 0 3
52.58, 1.740, 27, 2 0 2
63.97, 1.455, 22, 1 1 4
67.98, 1.379, 25, 1 2 2
72.43, 1.305, 12, 3 0 0

Structural model:
Lattice parameters (Å, degrees): 4.5201 4.5201 7.6101 90.00 90.00 120.00
Space group P3m1 (No. 156)
Unique sites:
Pr  0.0000  0.0000  0.0000 [1 per cell]
Gd  0.0000  0.0000  0.4976 [1 per cell]
Ge  0.3333  0.6667  0.2182 [1 per cell]
Ge  0.6667  0.3333  0.7041 [1 per cell]
Au  0.3333  0.6667  0.7598 [1 per cell]
Au  0.6667  0.3333  0.2934 [1 per cell]